1.
The following is a calculated powder XRD pattern of Ce8AlPd24. It was derived from a DFT-relaxed cell (PBE, the Materials Project), using Cu Kα X-rays.

Crystal structure
a b c (Å): 8.4493 8.4493 8.4493
angles (deg): 90.00 90.00 90.00
Positions (direct):
Ce 0.2494 0.2494 0.2494
Ce 0.2494 0.2494 0.7506
Ce 0.2494 0.7506 0.2494
Ce 0.2494 0.7506 0.7506
Ce 0.7506 0.2494 0.2494
Ce 0.7506 0.2494 0.7506
Ce 0.7506 0.7506 0.2494
Ce 0.7506 0.7506 0.7506
Al 0.5000 0.5000 0.5000
Pd 0.0000 0.0000 0.2467
Pd 0.0000 0.0000 0.7533
Pd 0.0000 0.2397 0.5000
Pd 0.0000 0.2467 0.0000
Pd 0.0000 0.5000 0.2397
Pd 0.0000 0.5000 0.7603
Pd 0.0000 0.7533 0.0000
Pd 0.0000 0.7603 0.5000
Pd 0.2085 0.5000 0.5000
Pd 0.2397 0.0000 0.5000
Pd 0.2397 0.5000 0.0000
Pd 0.2467 0.0000 0.0000
Pd 0.5000 0.0000 0.2397
Pd 0.5000 0.0000 0.7603
Pd 0.5000 0.2085 0.5000
Pd 0.5000 0.2397 0.0000
Pd 0.5000 0.5000 0.2085
Pd 0.5000 0.5000 0.7915
Pd 0.5000 0.7603 0.0000
Pd 0.5000 0.7915 0.5000
Pd 0.7533 0.0000 0.0000
Pd 0.7603 0.0000 0.5000
Pd 0.7603 0.5000 0.0000
Pd 0.7915 0.5000 0.5000

Principal peaks in the range 2θ = 10–80°, by angle:
| 2θ (°) | d/Å | Rel. int. |
| --- | --- | --- |
| 29.91 | 2.987 | 2 |
| 36.85 | 2.439 | 100 |
| 38.41 | 2.343 | 2 |
| 42.81 | 2.112 | 50 |
| 44.20 | 2.049 | 2 |
| 62.15 | 1.494 | 30 |
| 74.49 | 1.274 | 33 |
| 78.42 | 1.220 | 10 |


2.
The following is a calculated powder XRD pattern of UB4Mo. It was derived from a DFT-relaxed cell (PBE, the Materials Project), using Cu Kα X-rays.

Crystal structure
a b c (Å): 5.9344 11.5266 3.6774
angles (deg): 90.00 90.00 90.00
Positions (direct):
U 0.1284 0.1503 0.0000
U 0.3716 0.6503 0.0000
U 0.6284 0.3497 0.0000
U 0.8716 0.8497 0.0000
B 0.0236 0.6934 0.5000
B 0.1145 0.5472 0.5000
B 0.1325 0.9681 0.5000
B 0.2077 0.8122 0.5000
B 0.2923 0.3122 0.5000
B 0.3675 0.4681 0.5000
B 0.3855 0.0472 0.5000
B 0.4764 0.1934 0.5000
B 0.5236 0.8066 0.5000
B 0.6145 0.9528 0.5000
B 0.6325 0.5319 0.5000
B 0.7077 0.6878 0.5000
B 0.7923 0.1878 0.5000
B 0.8675 0.0319 0.5000
B 0.8855 0.4528 0.5000
B 0.9764 0.3066 0.5000
Mo 0.1378 0.4082 0.0000
Mo 0.3622 0.9082 0.0000
Mo 0.6378 0.0918 0.0000
Mo 0.8622 0.5918 0.0000

Principal peaks in the range 2θ = 10–80°, by angle:
| 2θ (°) | d/Å | Rel. int. |
| --- | --- | --- |
| 24.20 | 3.677 | 80 |
| 27.66 | 3.225 | 24 |
| 31.09 | 2.876 | 82 |
| 37.08 | 2.425 | 27 |
| 39.79 | 2.266 | 100 |
| 42.67 | 2.119 | 22 |
| 45.85 | 1.979 | 21 |
| 59.68 | 1.549 | 27 |


3.
The following is a calculated powder XRD pattern of Hf3Pb. It was derived from a DFT-relaxed cell (PBE, the Materials Project), using Cu Kα X-rays.

Crystal structure
a b c (Å): 6.3390 6.3390 5.1635
angles (deg): 90.00 90.00 120.00
Positions (direct):
Hf 0.1640 0.3280 0.2500
Hf 0.1640 0.8360 0.2500
Hf 0.3280 0.1640 0.7500
Hf 0.6720 0.8360 0.2500
Hf 0.8360 0.1640 0.7500
Hf 0.8360 0.6720 0.7500
Pb 0.3333 0.6667 0.7500
Pb 0.6667 0.3333 0.2500

Principal peaks in the range 2θ = 10–80°, by angle:
| 2θ (°) | d/Å | Rel. int. |
| --- | --- | --- |
| 32.62 | 2.745 | 23 |
| 34.75 | 2.582 | 27 |
| 37.09 | 2.424 | 100 |
| 48.40 | 1.881 | 16 |
| 58.22 | 1.585 | 18 |
| 63.83 | 1.458 | 21 |
| 69.61 | 1.351 | 22 |
| 71.07 | 1.326 | 15 |


4.
The following is a calculated powder XRD pattern of CuTeO4. It was derived from a DFT-relaxed cell (PBE, the Materials Project), using Cu Kα X-rays.

Crystal structure
a b c (Å): 6.3556 6.3556 6.3556
angles (deg): 126.08 123.50 81.91
Positions (direct):
Cu 0.5000 0.0000 0.0000
Cu 0.5000 0.5000 0.5000
Te 0.0000 0.0000 0.0000
Te 0.5000 0.0000 0.5000
O 0.2339 0.2024 0.0315
O 0.2385 0.2179 0.4794
O 0.2385 0.7590 0.0206
O 0.3291 0.7976 0.5315
O 0.6709 0.2024 0.4685
O 0.7615 0.2410 0.9794
O 0.7615 0.7821 0.5206
O 0.7661 0.7976 0.9685

Principal peaks in the range 2θ = 10–80°, by angle:
| 2θ (°) | d/Å | Rel. int. |
| --- | --- | --- |
| 17.39 | 5.098 | 30 |
| 17.95 | 4.941 | 100 |
| 34.92 | 2.570 | 32 |
| 35.21 | 2.549 | 17 |
| 36.37 | 2.471 | 16 |
| 37.47 | 2.400 | 22 |
| 43.49 | 2.081 | 33 |
| 58.72 | 1.572 | 21 |


5.
The following is a calculated powder XRD pattern of KThCuS3. It was derived from a DFT-relaxed cell (PBE, the Materials Project), using Cu Kα X-rays.

Crystal structure
a b c (Å): 7.3517 7.3517 10.5880
angles (deg): 90.00 90.00 147.69
Positions (direct):
K 0.2443 0.7557 0.7500
K 0.7557 0.2443 0.2500
Th 0.5000 0.5000 0.0000
Th 0.5000 0.5000 0.5000
Cu 0.0304 0.9696 0.2500
Cu 0.9696 0.0304 0.7500
S 0.1238 0.8762 0.0693
S 0.1238 0.8762 0.4307
S 0.4357 0.5643 0.2500
S 0.5643 0.4357 0.7500
S 0.8762 0.1238 0.5693
S 0.8762 0.1238 0.9307

Principal peaks in the range 2θ = 10–80°, by angle:
| 2θ (°) | d/Å | Rel. int. |
| --- | --- | --- |
| 12.54 | 7.061 | 100 |
| 20.97 | 4.236 | 27 |
| 25.22 | 3.531 | 16 |
| 28.28 | 3.155 | 46 |
| 28.91 | 3.088 | 21 |
| 33.60 | 2.667 | 47 |
| 33.86 | 2.647 | 17 |
| 42.47 | 2.128 | 28 |


6.
The following is a calculated powder XRD pattern of AlBi3O9. It was derived from a DFT-relaxed cell (PBE, the Materials Project), using Cu Kα X-rays.

Crystal structure
a b c (Å): 5.7939 5.7939 13.2846
angles (deg): 93.94 93.94 54.35
Positions (direct):
Al 0.0061 0.9939 0.5000
Al 0.9939 0.0061 0.0000
Bi 0.0729 0.0925 0.2362
Bi 0.0925 0.0729 0.7362
Bi 0.4037 0.4083 0.8845
Bi 0.4083 0.4037 0.3845
Bi 0.7178 0.7460 0.0662
Bi 0.7460 0.7178 0.5662
O 0.0458 0.8161 0.1251
O 0.0703 0.4334 0.3031
O 0.1684 0.5953 0.5188
O 0.2063 0.8651 0.3772
O 0.2922 0.9838 0.5841
O 0.3258 0.6312 0.7544
O 0.3864 0.7696 0.9729
O 0.4334 0.0703 0.8031
O 0.5102 0.8806 0.2026
O 0.5953 0.1684 0.0188
O 0.6312 0.3258 0.2544
O 0.6913 0.9827 0.4400
O 0.7696 0.3864 0.4729
O 0.8161 0.0458 0.6251
O 0.8651 0.2063 0.8772
O 0.8806 0.5102 0.7026
O 0.9827 0.6913 0.9400
O 0.9838 0.2922 0.0841

Principal peaks in the range 2θ = 10–80°, by angle:
| 2θ (°) | d/Å | Rel. int. |
| --- | --- | --- |
| 22.77 | 3.906 | 100 |
| 30.98 | 2.887 | 16 |
| 31.10 | 2.876 | 33 |
| 33.64 | 2.664 | 23 |
| 33.88 | 2.646 | 11 |
| 41.17 | 2.192 | 14 |
| 46.56 | 1.951 | 11 |
| 50.49 | 1.807 | 21 |


7.
The following is a calculated powder XRD pattern of SrWN3. It was derived from a DFT-relaxed cell (PBE, the Materials Project), using Cu Kα X-rays.

Crystal structure
a b c (Å): 6.5537 6.5537 6.7131
angles (deg): 103.29 103.29 33.98
Positions (direct):
Sr 0.1178 0.1178 0.3342
Sr 0.8822 0.8822 0.6659
W 0.3469 0.3469 0.1316
W 0.6531 0.6531 0.8684
N 0.1806 0.1806 0.9778
N 0.3456 0.3456 0.3986
N 0.4988 0.4988 0.1042
N 0.5012 0.5012 0.8958
N 0.6544 0.6544 0.6014
N 0.8194 0.8194 0.0222

Principal peaks in the range 2θ = 10–80°, by angle:
| 2θ (°) | d/Å | Rel. int. |
| --- | --- | --- |
| 13.59 | 6.516 | 35 |
| 17.39 | 5.100 | 22 |
| 27.78 | 3.211 | 45 |
| 28.87 | 3.093 | 100 |
| 29.35 | 3.043 | 37 |
| 32.82 | 2.729 | 43 |
| 34.20 | 2.622 | 24 |
| 47.11 | 1.929 | 23 |


8.
The following is a calculated powder XRD pattern of SrMg2FeH8. It was derived from a DFT-relaxed cell (PBE, the Materials Project), using Cu Kα X-rays.

Crystal structure
a b c (Å): 4.5008 4.5008 6.5675
angles (deg): 90.00 90.00 120.00
Positions (direct):
Sr 0.0000 0.0000 0.0000
Mg 0.3333 0.6667 0.3777
Mg 0.6667 0.3333 0.6223
Fe 0.0000 0.0000 0.5000
H 0.1613 0.3225 0.6441
H 0.1613 0.8387 0.6441
H 0.3225 0.1613 0.3559
H 0.3333 0.6667 0.0856
H 0.6667 0.3333 0.9144
H 0.6775 0.8387 0.6441
H 0.8387 0.1613 0.3559
H 0.8387 0.6775 0.3559

Principal peaks in the range 2θ = 10–80°, by angle:
| 2θ (°) | d/Å | Rel. int. |
| --- | --- | --- |
| 22.81 | 3.898 | 100 |
| 26.59 | 3.352 | 26 |
| 27.16 | 3.284 | 32 |
| 35.75 | 2.511 | 95 |
| 40.07 | 2.250 | 60 |
| 49.08 | 1.856 | 37 |
| 54.77 | 1.676 | 28 |
| 69.99 | 1.344 | 25 |